(1)
The following is a calculated X-ray diffraction stick pattern of Li2Mn3B3O9. It was derived from a DFT-relaxed cell (PBE+U, the Materials Project), using Cu Kα, 1.54184 Å.
Lines closer than 0.1° are merged.

Structural model:
```
data_Li2Mn3B3O9
_chemical_formula_sum 'Li4 Mn6 B6 O18'
_space_group_name_H-M_alt 'P 1 m 1'
_space_group_IT_number 6
_cell_length_a 8.2354
_cell_length_b 6.3483
_cell_length_c 8.2918
_cell_angle_alpha 90.00
_cell_angle_beta 119.60
_cell_angle_gamma 90.00
loop_
_space_group_symop_operation_xyz
'x,y,z'
'x,-y,z'
loop_
_atom_site_label
_atom_site_type_symbol
_atom_site_fract_x
_atom_site_fract_y
_atom_site_fract_z
Li1 Li 0.0000 0.0000 0.0000
Li2 Li 0.0007 0.5000 0.9973
Li3 Li 0.4216 0.5000 0.6782
Li4 Li 0.6746 0.0000 0.2536
Mn1 Mn 0.0561 0.2496 0.3571
Mn2 Mn 0.3353 0.2486 0.9651
Mn3 Mn 0.7000 0.2507 0.6079
B1 B 0.0191 0.0000 0.6452
B2 B 0.0393 0.5000 0.6506
B3 B 0.3543 0.0000 0.3016
B4 B 0.3616 0.5000 0.3129
B5 B 0.7062 0.2506 0.9781
O1 O 0.2072 0.0000 0.7594
O2 O 0.2312 0.0000 0.3692
O3 O 0.2342 0.5000 0.7649
O4 O 0.2457 0.5000 0.3909
O5 O 0.2823 0.0000 0.1104
O6 O 0.2883 0.5000 0.1232
O7 O 0.5472 0.0000 0.4156
O8 O 0.5530 0.5000 0.4367
O9 O 0.6034 0.2690 0.7870
O10 O 0.6162 0.2328 0.0796
O11 O 0.8971 0.0000 0.7193
O12 O 0.9013 0.2501 0.0667
O13 O 0.9225 0.5000 0.7268
O14 O 0.9414 0.0000 0.4516
O15 O 0.9638 0.5000 0.4601
```

Peak list (12 most intense, 2θ from 10° to 90°, by angle)
(hkl)	Position (°2θ)	intensity
1 0 1	21.40	100
2 0 -1	21.58	54
1 2 0	30.81	25
1 2 1	35.60	66
2 2 -1	35.72	37
3 0 0	37.71	21
3 0 -3	37.81	18
4 0 -2	43.98	15
3 2 0	47.71	27
4 2 -2	53.01	14
0 4 0	58.12	15
2 4 -1	62.70	14

---

(2)
The following is a calculated X-ray diffraction stick pattern of LiMn2B2O6. It was derived from a DFT-relaxed cell (PBE+U, the Materials Project), using Cu Kα, 1.54184 Å.
Lines closer than 0.1° are merged.

Structural model:
```
data_LiMn2B2O6
_chemical_formula_sum 'Li4 Mn8 B8 O24'
_space_group_name_H-M_alt 'C 1 c 1'
_space_group_IT_number 9
_cell_length_a 5.4375
_cell_length_b 9.2263
_cell_length_c 9.9802
_cell_angle_alpha 90.00
_cell_angle_beta 91.99
_cell_angle_gamma 90.00
loop_
_space_group_symop_operation_xyz
'x,y,z'
'x,-y,z+1/2'
'x+1/2,y+1/2,z'
'x+1/2,-y+1/2,z+1/2'
loop_
_atom_site_label
_atom_site_type_symbol
_atom_site_fract_x
_atom_site_fract_y
_atom_site_fract_z
Li1 Li 0.0000 0.0174 0.0000
Mn1 Mn 0.3005 0.3223 0.7899
Mn2 Mn 0.4818 0.1486 0.5405
B1 B 0.3117 0.3279 0.2948
B2 B 0.4773 0.1763 0.0394
O1 O 0.0767 0.3012 0.2412
O2 O 0.2225 0.3231 0.5942
O3 O 0.3379 0.0564 0.0354
O4 O 0.3895 0.3104 0.9854
O5 O 0.3985 0.4646 0.3101
O6 O 0.4551 0.2075 0.3349
```

Peak list (12 most intense, 2θ from 10° to 90°, by angle)
(hkl)	Position (°2θ)	intensity
1 1 0	18.95	32
0 2 0	19.24	63
1 1 1	21.21	100
1 1 -2	25.71	60
1 1 2	26.50	34
2 0 0	32.97	21
1 3 0	33.48	50
0 0 4	36.02	61
2 0 -2	37.13	21
2 2 -1	39.26	33
0 4 1	40.13	21
1 1 5	50.25	22

---

(3)
The following is a calculated X-ray diffraction stick pattern of Li2MnB2O6. It was derived from a DFT-relaxed cell (PBE+U, the Materials Project), using Cu Kα, 1.54184 Å.
Lines closer than 0.1° are merged.

Structural model:
```
data_Li2MnB2O6
_chemical_formula_sum 'Li8 Mn4 B8 O24'
_space_group_name_H-M_alt 'P 1 21/c 1'
_space_group_IT_number 14
_cell_length_a 3.0026
_cell_length_b 14.6074
_cell_length_c 9.1574
_cell_angle_alpha 90.00
_cell_angle_beta 92.56
_cell_angle_gamma 90.00
loop_
_space_group_symop_operation_xyz
'x,y,z'
'-x,-y,-z'
'-x,y+1/2,-z+1/2'
'x,-y+1/2,z+1/2'
loop_
_atom_site_label
_atom_site_type_symbol
_atom_site_fract_x
_atom_site_fract_y
_atom_site_fract_z
Li1 Li 0.1983 0.2476 0.1069
Li2 Li 0.2233 0.0401 0.6121
Mn1 Mn 0.3218 0.6325 0.6229
B1 B 0.3441 0.0762 0.1610
B2 B 0.3551 0.6574 0.1048
O1 O 0.1667 0.1586 0.7566
O2 O 0.2099 0.1004 0.0162
O3 O 0.2449 0.5848 0.0245
O4 O 0.3157 0.7451 0.0416
O5 O 0.3415 0.5096 0.7122
O6 O 0.4837 0.1524 0.2454
```

Peak list (12 most intense, 2θ from 10° to 90°, by angle)
(hkl)	Position (°2θ)	intensity
0 1 1	11.41	100
0 2 1	15.52	43
0 1 2	20.34	90
0 3 1	20.66	27
0 4 0	24.37	60
1 0 0	29.79	19
0 1 3	29.93	25
1 0 -2	35.03	53
1 1 -2	35.59	23
1 0 2	36.52	50
0 6 2	42.04	32
1 2 3	45.07	33